1.
Structure and calculated XRD peak list of La2Pr2DyY (the PBE geometry in Alexandria; Cu Kα).
No peak broadening, texture or thermal motion is included.

Structural model:
a = 7.1744 Å, b = 5.7921 Å, c = 10.0484 Å
α = 90.00°, β = 90.00°, γ = 90.00°
Space group Pmma (No. 51)
One atom of each set of equivalent atoms:
La 0.0000 0.0000 0.0000 (multiplicity 2)
La 0.2500 0.5000 0.1751 (multiplicity 2)
Pr 0.2500 0.0000 0.3312 (multiplicity 2)
Pr 0.2500 0.5000 0.8356 (multiplicity 2)
Dy 0.2500 0.0000 0.6572 (multiplicity 2)
Y 0.0000 0.5000 0.5000 (multiplicity 2)

Peak list (12 most intense, 10 to 90 degrees two-theta, by intensity)
d 2.898, 30.85°, rel. 100, hkl 0 2 0; d 2.919, 30.63°, rel. 84, hkl 2 1 1; d 1.677, 54.73°, rel. 32, hkl 2 2 4; d 2.057, 44.03°, rel. 31, hkl 2 0 4; d 1.525, 60.72°, rel. 29, hkl 4 2 0; d 1.673, 54.86°, rel. 19, hkl 0 3 3; d 2.254, 39.99°, rel. 19, hkl 2 2 0; d 1.224, 78.11°, rel. 14, hkl 4 3 3; d 1.449, 64.28°, rel. 12, hkl 0 4 0; d 3.587, 24.82°, rel. 11, hkl 2 0 0; d 1.127, 86.30°, rel. 11, hkl 4 4 0; d 1.298, 72.85°, rel. 9, hkl 2 1 7


2.
Structure and calculated XRD peak list of ThNi2Ge4 (the PBE geometry in Alexandria; Cu Kα).
No peak broadening, texture or thermal motion is included.

Structural model:
a = 18.4131 Å, b = 4.0868 Å, c = 6.5381 Å
α = 90.00°, β = 90.00°, γ = 90.00°
Space group Pnma (No. 62)
One atom of each set of equivalent atoms:
Th 0.1388 0.2500 0.0409 (multiplicity 4)
Ni 0.0316 0.7500 0.7410 (multiplicity 4)
Ni 0.2023 0.2500 0.5150 (multiplicity 4)
Ge 0.0230 0.7500 0.1360 (multiplicity 4)
Ge 0.0667 0.2500 0.5194 (multiplicity 4)
Ge 0.1704 0.7500 0.7067 (multiplicity 4)
Ge 0.2114 0.7500 0.3121 (multiplicity 4)

Peak list (12 most intense, 10 to 90 degrees two-theta, by intensity)
d 2.459, 36.55°, rel. 100, hkl 2 1 2; d 2.524, 35.57°, rel. 53, hkl 5 1 1; d 2.441, 36.83°, rel. 40, hkl 7 0 1; d 2.043, 44.33°, rel. 32, hkl 0 2 0; d 3.735, 23.82°, rel. 21, hkl 2 1 0; d 1.567, 58.95°, rel. 20, hkl 7 2 1; d 2.665, 33.63°, rel. 16, hkl 4 0 2; d 3.406, 26.17°, rel. 15, hkl 1 1 1; d 1.246, 76.47°, rel. 15, hkl 2 3 2; d 6.161, 14.38°, rel. 15, hkl 1 0 1; d 1.401, 66.77°, rel. 14, hkl 9 1 3; d 2.357, 38.18°, rel. 13, hkl 3 1 2


3.
Structure and calculated XRD peak list of LiCuPO4 (the PBE geometry in Alexandria; Cu Kα).
No peak broadening, texture or thermal motion is included.

Structural model:
a = 7.9504 Å, b = 8.2623 Å, c = 5.9325 Å
α = 90.00°, β = 90.00°, γ = 90.00°
Space group Pna2_1 (No. 33)
One atom of each set of equivalent atoms:
Li 0.1548 0.2217 0.0000 (multiplicity 4)
Cu 0.1907 0.8583 0.0816 (multiplicity 4)
P 0.1701 0.9817 0.5933 (multiplicity 4)
O 0.0230 0.0312 0.0565 (multiplicity 4)
O 0.2193 0.1500 0.6860 (multiplicity 4)
O 0.2258 0.8433 0.7588 (multiplicity 4)
O 0.2320 0.4400 0.8744 (multiplicity 4)

Peak list (12 most intense, 10 to 90 degrees two-theta, by intensity)
d 5.729, 15.47°, rel. 100, hkl 1 1 0; d 3.975, 22.36°, rel. 85, hkl 2 0 0; d 3.666, 24.28°, rel. 78, hkl 1 2 0; d 4.819, 18.41°, rel. 50, hkl 0 1 1; d 2.382, 37.76°, rel. 47, hkl 1 3 1; d 2.966, 30.13°, rel. 36, hkl 0 0 2; d 3.067, 29.12°, rel. 28, hkl 2 1 1; d 2.634, 34.04°, rel. 23, hkl 1 1 2; d 1.922, 47.28°, rel. 23, hkl 3 1 2; d 2.088, 43.34°, rel. 21, hkl 3 2 1; d 1.575, 58.63°, rel. 18, hkl 1 3 3; d 2.524, 35.58°, rel. 17, hkl 3 1 0